LaAgH8Pt2: computed powder diffractogram (a wavelength of 1.5418 Å), based on the PBE geometry in Alexandria.

Structure:
Cell: 6.468 6.468 6.468 Å, 44.81 44.81 44.81°
Fractional positions:
La  0.000  0.000  0.000
Ag  0.500  0.500  0.500
H  0.112  0.781  0.425
H  0.219  0.575  0.888
H  0.325  0.325  0.325
H  0.425  0.112  0.781
H  0.575  0.888  0.219
H  0.675  0.675  0.675
H  0.781  0.425  0.112
H  0.888  0.219  0.575
Pt  0.233  0.233  0.233
Pt  0.767  0.767  0.767

Top 8 peaks for 2θ = 15–90°, low angle first:
3.049 Å, 2θ 29.29, intensity 100
2.465 Å, 2θ 36.45, intensity 63
1.940 Å, 2θ 46.83, intensity 19
1.917 Å, 2θ 47.42, intensity 27
1.524 Å, 2θ 60.80, intensity 17
1.513 Å, 2θ 61.25, intensity 25
1.423 Å, 2θ 65.59, intensity 12
1.297 Å, 2θ 72.96, intensity 10